BaLiSiPd: theoretical X-ray diffraction stick pattern (Cu Kα (λ = 1.5418 Å)), based on DFT lattice parameters and positions (PBE).

Top 6 peaks for 5 to 70 degrees two-theta, low angle first:
| d/Å | Rel. int. | (hkl) |
| --- | --- | --- |
| 3.706 | 100 | 1 0 1 |
| 3.172 | 73 | 1 1 1 |
| 2.980 | 57 | 0 1 2 |
| 2.797 | 79 | 0 2 1 |
| 2.519 | 57 | 1 2 0 |
| 2.470 | 69 | 1 1 2 |

Crystal structure
a = 4.4150 Å, b = 6.1340 Å, c = 6.8184 Å
α = 90.00°, β = 90.00°, γ = 90.00°
Sites, in units of the cell vectors:
Ba  0.0000  0.1213  0.0000
Ba  0.5000  0.8787  0.5000
Li  0.0000  0.5997  0.8271
Li  0.5000  0.4003  0.3271
Si  0.0000  0.3658  0.5178
Si  0.5000  0.6342  0.0178
Pd  0.0000  0.5927  0.2082
Pd  0.5000  0.4073  0.7082


OsC2Br: theoretical X-ray diffraction stick pattern (Cu Kα (λ = 1.5418 Å)), based on DFT lattice parameters and positions (PBE).

Top 6 peaks for 5 to 70 degrees two-theta, low angle first:
| d/Å | Rel. int. | (hkl) |
| --- | --- | --- |
| 4.284 | 89 | 1 0 0 |
| 3.684 | 74 | 0 1 1 |
| 2.793 | 100 | 1 1 1 |
| 2.390 | 43 | 0 2 1 |
| 2.275 | 46 | 0 1 2 |
| 2.087 | 65 | 1 2 1 |

Crystal structure
a = 4.2842 Å, b = 5.4392 Å, c = 5.0079 Å
α = 90.00°, β = 90.00°, γ = 90.00°
Sites, in units of the cell vectors:
Os  0.0000  0.1321  0.2500
Os  0.0000  0.8679  0.7500
C  0.3695  0.0000  0.5000
C  0.5000  0.0192  0.2500
C  0.5000  0.9808  0.7500
C  0.6305  0.0000  0.0000
Br  0.2228  0.5000  0.0000
Br  0.7772  0.5000  0.5000